# 1
La3Pb2: theoretical XRD peak list (CuKα), based on the PBE geometry in Alexandria.
Intensities are scaled so that the largest is 100.

Top 10 peaks for 2θ from 10° to 90°, by angle:
| 2θ/deg | intensity |
| --- | --- |
| 30.31 | 100 |
| 32.54 | 87 |
| 45.06 | 34 |
| 52.39 | 19 |
| 56.68 | 35 |
| 58.06 | 17 |
| 63.04 | 11 |
| 68.16 | 10 |
| 72.76 | 15 |
| 76.39 | 15 |

Unit cell a=5.503 b=5.503 c=18.771 alpha=90.00 beta=90.00 gamma=120.00
Element x y z (fractional)
La1 0.000 0.000 0.000
La2 0.000 0.000 0.206
La3 0.000 0.000 0.794
La4 0.333 0.667 0.461
La5 0.333 0.667 0.667
La6 0.333 0.667 0.872
La7 0.667 0.333 0.128
La8 0.667 0.333 0.333
La9 0.667 0.333 0.539
Pb1 0.000 0.000 0.408
Pb2 0.000 0.000 0.592
Pb3 0.333 0.667 0.075
Pb4 0.333 0.667 0.259
Pb5 0.667 0.333 0.741
Pb6 0.667 0.333 0.925

# 2
La7Pb: theoretical XRD peak list (CuKα), based on the PBE geometry in Alexandria.
Intensities are scaled so that the largest is 100.

Top 10 peaks for 2θ from 10° to 90°, by angle:
| 2θ/deg | intensity |
| --- | --- |
| 14.88 | 2 |
| 28.71 | 1 |
| 30.02 | 100 |
| 34.80 | 51 |
| 50.04 | 36 |
| 59.46 | 43 |
| 62.39 | 12 |
| 73.47 | 6 |
| 81.35 | 18 |
| 83.93 | 16 |

Unit cell a=7.291 b=7.291 c=7.291 alpha=60.00 beta=60.00 gamma=60.00
Element x y z (fractional)
La1 0.000 0.000 0.000
La2 0.000 0.000 0.500
La3 0.000 0.500 0.000
La4 0.000 0.500 0.500
La5 0.500 0.000 0.000
La6 0.500 0.000 0.500
La7 0.500 0.500 0.000
Pb1 0.500 0.500 0.500

# 3
La5Pb3: theoretical XRD peak list (CuKα), based on the PBE geometry in Alexandria.
Intensities are scaled so that the largest is 100.

Top 10 peaks for 2θ from 10° to 90°, by angle:
| 2θ/deg | intensity |
| --- | --- |
| 22.38 | 14 |
| 25.27 | 27 |
| 28.35 | 21 |
| 31.11 | 100 |
| 31.47 | 75 |
| 32.24 | 45 |
| 41.12 | 23 |
| 45.68 | 15 |
| 48.34 | 30 |
| 61.57 | 22 |

Unit cell a=9.619 b=9.619 c=7.048 alpha=90.00 beta=90.00 gamma=120.00
Element x y z (fractional)
La1 0.000 0.243 0.250
La2 0.000 0.757 0.750
La3 0.243 0.000 0.250
La4 0.243 0.243 0.750
La5 0.333 0.667 0.000
La6 0.333 0.667 0.500
La7 0.667 0.333 0.000
La8 0.667 0.333 0.500
La9 0.757 0.000 0.750
La10 0.757 0.757 0.250
Pb1 0.000 0.392 0.750
Pb2 0.000 0.608 0.250
Pb3 0.392 0.000 0.750
Pb4 0.392 0.392 0.250
Pb5 0.608 0.000 0.250
Pb6 0.608 0.608 0.750